This entry pairs a crystal structure of BaTaMoO6 with its calculated powder XRD pattern. Radiation: copper Kα. Structure: DFT lattice parameters and positions (GGA+U).
Lines closer than 0.1° are merged.

Main lines, in order of rising 2θ (2θ from 10° to 90°):
h k l  Position (°2θ)  d/Å  intensity
1 1 0  24.31  3.661  100
1 0 3  32.01  2.796  85
2 0 0  34.65  2.589  24
2 1 3  47.89  1.900  62
2 2 0  49.82  1.830  18
3 1 0  56.18  1.637  18
3 0 3  60.45  1.531  17
1 1 6  61.29  1.512  17
3 2 3  71.59  1.318  17
4 1 3  82.04  1.175  13

```
BaTaMoO6
1.0
5.1771 0.0000 0.0000
0.0000 5.1771 0.0000
0.0000 0.0000 9.9671
Ba Ta Mo O
2 2 2 12
Cartesian
0.0000 0.0000 0.0000
2.5886 2.5886 4.9835
0.0000 0.0000 3.4277
2.5886 2.5886 8.4112
0.0000 0.0000 6.6575
2.5886 2.5886 1.6739
0.8350 0.8350 5.0199
1.2766 1.2766 7.9327
1.2925 1.2925 2.1303
1.2960 3.8811 7.1139
1.3119 3.8652 2.9492
1.7536 3.4235 0.0364
3.4235 1.7536 0.0364
3.8652 1.3119 2.9492
3.8811 1.2960 7.1139
3.8846 3.8846 2.1303
3.9005 3.9005 7.9327
4.3422 4.3422 5.0199
```